Computed X-ray diffraction stick pattern
Compound: BrCl
Radiation: λ = 1.5418 Å (Cu Kα)
Structure: a PBE-relaxed structure
Neutral-atom scattering factors, no anomalous dispersion.

Crystal structure
```
BrCl
1.0
4.0255 -2.5151 0.0000
4.0255 2.5151 0.0000
0.0000 0.0000 7.8211
Br Cl
2 2
Cartesian
4.0255 2.4842 3.9106
4.0255 -2.4842 0.0000
4.0255 1.0940 1.9791
4.0255 -1.0940 5.8897
```

Most intense lines, 2θ from 5° to 70°, by angle:
20.82°, I 88.5; 22.08°, I 100.0; 23.76°, I 31.8; 31.02°, I 92.6; 38.00°, I 18.5; 42.75°, I 30.1; 44.74°, I 32.4; 45.04°, I 13.5; 48.62°, I 40.5; 51.41°, I 15.3; 51.99°, I 17.3; 63.83°, I 17.3

Computed X-ray diffraction stick pattern
Compound: CrP4
Radiation: λ = 1.5418 Å (Cu Kα)
Structure: a PBE-relaxed structure
Neutral-atom scattering factors, no anomalous dispersion.

Crystal structure
```
CrP4
1.0
2.5986 -5.3795 0.0000
2.5986 5.3795 0.0000
-1.9971 0.0000 5.3622
Cr P
2 8
Cartesian
1.1007 4.7313 4.0217
2.0993 -4.7313 1.3406
1.0377 2.3530 1.0238
0.0634 0.9619 3.6264
1.0620 -0.9619 0.9453
0.0391 -2.3530 3.7049
3.1609 2.3530 1.6573
2.1381 0.9619 4.4169
3.1366 -0.9619 1.7358
2.1624 -2.3530 4.3384
```

Most intense lines, 2θ from 5° to 70°, by angle:
20.01°, I 47.7; 32.02°, I 100.0; 33.42°, I 69.2; 38.68°, I 17.0; 40.67°, I 19.2; 44.71°, I 27.0; 48.89°, I 35.2; 50.93°, I 14.1; 53.91°, I 19.1; 54.50°, I 40.8; 55.67°, I 19.0; 57.97°, I 27.8

Computed X-ray diffraction stick pattern
Compound: KCeMg6
Radiation: λ = 1.5418 Å (Cu Kα)
Structure: a PBE-relaxed structure
Neutral-atom scattering factors, no anomalous dispersion.

Crystal structure
```
KCeMg6
1.0
5.4053 0.0000 0.0000
0.0000 3.5123 5.9646
0.0000 -3.5123 5.9646
K Ce Mg
1 1 6
Cartesian
0.0000 0.0000 0.0000
2.7026 0.0000 9.6119
0.0000 0.0000 5.7693
0.0000 -1.7385 8.8090
0.0000 1.7385 8.8090
2.7026 0.0000 3.6423
2.7026 -1.6329 6.7570
2.7026 1.6329 6.7570
```

Most intense lines, 2θ from 5° to 70°, by angle:
14.63°, I 55.8; 14.85°, I 19.3; 22.05°, I 39.7; 22.19°, I 25.7; 29.51°, I 20.3; 29.96°, I 20.3; 30.68°, I 21.5; 33.15°, I 31.9; 33.95°, I 100.0; 34.34°, I 33.7; 59.73°, I 18.5; 63.88°, I 25.8

Computed X-ray diffraction stick pattern
Compound: ZrC
Radiation: λ = 1.5418 Å (Cu Kα)
Structure: a PBE-relaxed structure
Neutral-atom scattering factors, no anomalous dispersion.

Crystal structure
```
ZrC
1.0
3.3915 0.0000 0.0000
-1.6957 2.9371 0.0000
0.0000 0.0000 5.2901
Zr C
2 2
Cartesian
0.0000 1.9581 1.3225
1.6957 0.9790 3.9675
0.0000 0.0000 0.0000
0.0000 0.0000 2.6450
```

Most intense lines, 2θ from 5° to 70°, by angle:
30.43°, I 14.0; 33.89°, I 18.9; 34.94°, I 100.0; 46.19°, I 21.5; 54.08°, I 22.0; 61.32°, I 18.7; 63.33°, I 1.9; 65.37°, I 17.0; 66.02°, I 14.8

Computed X-ray diffraction stick pattern
Compound: LiBH9N3
Radiation: λ = 1.5418 Å (Cu Kα)
Structure: a PBE-relaxed structure
Neutral-atom scattering factors, no anomalous dispersion.

Crystal structure
```
LiBH9N3
1.0
7.6263 0.0000 0.0000
0.0000 6.3442 0.0000
-4.5714 0.0000 9.6851
Li B H N
4 4 36 12
Cartesian
1.0585 0.9494 1.2803
-1.2271 2.2227 6.1229
4.2821 4.1215 3.5623
1.9964 5.3948 8.4048
-1.7428 1.3565 8.5077
0.5429 1.8156 3.6651
2.5120 4.5287 6.0200
4.7977 4.9877 1.1775
0.0878 4.7344 1.5592
-2.1979 4.7820 6.4017
-3.4354 3.9443 9.1401
-1.1497 5.5720 4.2975
-0.4764 1.5012 3.0293
-2.7620 1.6710 7.8719
-0.9273 3.9716 4.0209
-3.2130 5.5448 8.8635
-1.5841 0.1380 8.3982
0.7016 3.0341 3.5556
1.7409 4.7296 1.4634
-0.5448 4.7867 6.3059
0.4713 0.4096 5.2852
2.7569 2.7626 0.4426
1.5350 1.2880 3.1036
-0.7507 1.8841 7.9462
1.8252 4.5612 4.0149
-0.4604 4.9552 8.8574
3.5154 1.3891 0.8277
1.2297 1.7831 5.6703
3.8056 4.4602 1.7389
1.5200 5.0562 6.5815
0.2980 3.5817 9.2425
2.5837 5.9347 4.4000
3.5997 1.5575 3.3792
1.3140 1.6146 8.2218
2.3533 3.3102 6.1295
4.6390 6.2062 1.2869
6.2679 0.7994 0.8216
3.9823 2.3727 5.6642
5.8170 4.6733 1.8133
3.5313 4.8431 6.6558
4.2046 0.7722 5.3876
6.4903 2.3999 0.5451
5.2528 1.5622 3.2834
2.9672 1.6099 8.1260
-1.5301 4.6426 4.5141
-3.8158 4.8737 9.3567
-1.3914 4.3502 5.9292
0.8943 5.1662 1.0866
0.4104 1.4247 5.1633
2.6961 1.7474 0.3207
0.3588 4.5968 9.3644
2.6445 4.9196 4.5218
2.1607 1.1781 8.5985
4.4463 1.9940 3.7559
6.8707 1.4705 0.3285
4.5850 1.7016 5.1710
```

Most intense lines, 2θ from 5° to 70°, by angle:
16.71°, I 9.5; 17.31°, I 10.2; 18.32°, I 71.6; 18.56°, I 8.7; 28.13°, I 68.8; 28.29°, I 100.0; 29.48°, I 77.3; 32.05°, I 6.7; 33.78°, I 15.8; 39.85°, I 10.5; 47.86°, I 9.5; 49.88°, I 7.9

Computed X-ray diffraction stick pattern
Compound: CdSeO4
Radiation: λ = 1.5418 Å (Cu Kα)
Structure: a PBE-relaxed structure
Neutral-atom scattering factors, no anomalous dispersion.

Crystal structure
```
CdSeO4
1.0
6.8205 0.0000 0.0000
0.0000 4.9679 0.0000
0.0000 0.0000 5.0203
Cd Se O
2 2 8
Cartesian
0.0000 0.6631 0.0000
3.4103 4.3048 2.5102
0.0000 3.2831 2.3781
3.4103 1.6848 4.8883
0.0000 1.6463 2.0579
0.0000 3.4772 4.0356
1.3207 4.0387 1.6419
2.0896 0.9292 4.1520
3.4103 1.4907 1.5254
3.4103 3.3216 4.5680
4.7309 0.9292 4.1520
5.4998 4.0387 1.6419
```

Most intense lines, 2θ from 5° to 70°, by angle:
25.22°, I 100.0; 26.13°, I 84.4; 28.46°, I 97.6; 35.77°, I 29.9; 36.63°, I 54.5; 38.57°, I 43.4; 44.83°, I 37.2; 47.57°, I 25.8; 53.62°, I 32.8; 54.73°, I 20.1; 60.41°, I 22.7; 64.84°, I 18.7

Computed X-ray diffraction stick pattern
Compound: PtC
Radiation: λ = 1.5418 Å (Cu Kα)
Structure: a PBE-relaxed structure
Neutral-atom scattering factors, no anomalous dispersion.

Crystal structure
```
PtC
1.0
0.0000 2.3648 2.3648
2.3648 0.0000 2.3648
2.3648 2.3648 0.0000
Pt C
1 1
Cartesian
0.0000 0.0000 0.0000
1.1824 1.1824 1.1824
```

Most intense lines, 2θ from 5° to 70°, by angle:
32.80°, I 100.0; 38.05°, I 45.1; 54.91°, I 38.5; 65.45°, I 42.0; 68.76°, I 11.2

Computed X-ray diffraction stick pattern
Compound: BaMgSi
Radiation: λ = 1.5418 Å (Cu Kα)
Structure: a PBE-relaxed structure
Neutral-atom scattering factors, no anomalous dispersion.

Crystal structure
```
BaMgSi
1.0
4.6590 0.0000 0.0000
0.0000 4.6590 0.0000
0.0000 0.0000 7.9124
Ba Mg Si
2 2 2
Cartesian
1.1647 1.1647 1.2873
3.4942 3.4942 6.6251
1.1647 3.4942 3.9562
3.4942 1.1647 3.9562
1.1647 1.1647 5.5687
3.4942 3.4942 2.3437
```

Most intense lines, 2θ from 5° to 70°, by angle:
22.14°, I 80.7; 27.07°, I 64.9; 29.37°, I 42.9; 29.62°, I 100.0; 33.99°, I 17.8; 35.46°, I 42.0; 38.65°, I 47.2; 44.99°, I 25.7; 49.44°, I 46.9; 50.10°, I 22.6; 52.40°, I 20.5; 65.01°, I 20.7

Computed X-ray diffraction stick pattern
Compound: Nb5Cu4Si4
Radiation: λ = 1.5418 Å (Cu Kα)
Structure: a PBE-relaxed structure
Neutral-atom scattering factors, no anomalous dispersion.

Crystal structure
```
Nb5Cu4Si4
1.0
-5.1226 5.1226 1.8064
5.1226 -5.1226 1.8064
5.1226 5.1226 -1.8064
Nb Cu Si
5 4 4
Cartesian
0.0000 0.0000 0.0000
6.4460 3.1161 0.0000
3.1161 3.7993 0.0000
2.0065 1.3234 1.8064
-1.3234 2.0065 1.8064
4.2818 1.0623 0.0000
4.0604 -0.8408 1.8064
1.0623 5.9635 0.0000
0.8408 4.0604 1.8064
7.6570 0.6060 0.0000
0.6060 2.5882 0.0000
4.5166 2.5344 1.8064
-2.5344 4.5166 1.8064
```

Most intense lines, 2θ from 5° to 70°, by angle:
31.54°, I 27.2; 36.19°, I 44.8; 37.23°, I 17.7; 39.33°, I 23.8; 40.38°, I 100.0; 44.24°, I 21.1; 45.12°, I 33.6; 50.53°, I 22.2; 63.60°, I 9.3; 64.29°, I 9.8; 64.41°, I 6.8; 65.84°, I 10.0